(1)
Calculated powder X-ray diffraction pattern of CsThTe4 for Cu Kα (λ = 1.5418 Å), from a structure optimized by DFT (GGA-PBE).
Peak positions follow from Bragg's law for the DFT cell and can differ from measured ones.

Principal peaks in the range 10° ≤ 2θ ≤ 90°, most intense first:
2θ/deg  I (rel.)
25.76  1000
29.92  759
31.52  570
40.61  514
34.07  266
47.58  262
41.70  222
55.71  220
58.99  208
17.86  166

Atomic structure:
Lattice parameters (Å, degrees): 7.0248 7.0248 9.6337 90.00 90.00 90.00
Atoms (fractional coordinates):
Cs  0.2500  0.2500  0.0000
Cs  0.7500  0.7500  0.0000
Th  0.2500  0.2500  0.5000
Th  0.7500  0.7500  0.5000
Te  0.0996  0.5996  0.3073
Te  0.0996  0.9004  0.6927
Te  0.4004  0.5996  0.6927
Te  0.4004  0.9004  0.3073
Te  0.5996  0.0996  0.6927
Te  0.5996  0.4004  0.3073
Te  0.9004  0.0996  0.3073
Te  0.9004  0.4004  0.6927

(2)
Calculated powder X-ray diffraction pattern of Cs4Th3TlTe8 for Cu Kα (λ = 1.5418 Å), from a structure optimized by DFT (GGA-PBE).
Peak positions follow from Bragg's law for the DFT cell and can differ from measured ones.

Principal peaks in the range 10° ≤ 2θ ≤ 90°, most intense first:
2θ/deg  I (rel.)
25.49  1000
37.90  378
34.75  338
46.23  195
61.26  163
32.11  123
52.36  103
56.90  102
66.43  99
43.49  79

Atomic structure:
Lattice parameters (Å, degrees): 10.4075 10.4075 10.4075 54.28 54.28 54.28
Atoms (fractional coordinates):
Cs  0.0000  0.0000  0.0000
Cs  0.0000  0.5000  0.5000
Cs  0.5000  0.0000  0.5000
Cs  0.5000  0.5000  0.0000
Th  0.0000  0.0000  0.5000
Th  0.0000  0.5000  0.0000
Th  0.5000  0.0000  0.0000
Tl  0.5000  0.5000  0.5000
Te  0.2093  0.7421  0.7421
Te  0.2314  0.2314  0.2314
Te  0.2579  0.2579  0.7907
Te  0.2579  0.7907  0.2579
Te  0.7421  0.2093  0.7421
Te  0.7421  0.7421  0.2093
Te  0.7686  0.7686  0.7686
Te  0.7907  0.2579  0.2579

(3)
Calculated powder X-ray diffraction pattern of Cs3Tm2ThTe6 for Cu Kα (λ = 1.5418 Å), from a structure optimized by DFT (GGA-PBE).
Peak positions follow from Bragg's law for the DFT cell and can differ from measured ones.

Principal peaks in the range 10° ≤ 2θ ≤ 90°, most intense first:
2θ/deg  I (rel.)
26.34  1000
39.90  366
35.16  339
48.45  188
64.51  159
32.64  120
54.22  98
69.40  93
57.91  91
43.60  81

Atomic structure:
Lattice parameters (Å, degrees): 7.8264 7.8264 9.3515 98.03 98.03 120.01
Atoms (fractional coordinates):
Cs  0.0000  0.0000  0.0000
Cs  0.3352  0.6648  0.0000
Cs  0.6648  0.3352  0.0000
Tm  0.1669  0.8331  0.5000
Tm  0.8331  0.1669  0.5000
Th  0.5000  0.5000  0.5000
Te  0.0958  0.4360  0.3083
Te  0.2234  0.2234  0.6909
Te  0.4360  0.0958  0.3083
Te  0.5640  0.9042  0.6917
Te  0.7766  0.7766  0.3091
Te  0.9042  0.5640  0.6917

(4)
Calculated powder X-ray diffraction pattern of Cs3TmTh2Te6 for Cu Kα (λ = 1.5418 Å), from a structure optimized by DFT (GGA-PBE).
Peak positions follow from Bragg's law for the DFT cell and can differ from measured ones.

Principal peaks in the range 10° ≤ 2θ ≤ 90°, most intense first:
2θ/deg  I (rel.)
26.24  1000
39.82  411
34.94  362
48.32  188
64.34  159
32.45  118
57.56  109
54.00  104
69.16  99
43.27  82

Atomic structure:
Lattice parameters (Å, degrees): 7.8404 7.8404 9.4319 97.97 97.97 119.98
Atoms (fractional coordinates):
Cs  0.0000  0.0000  0.0000
Cs  0.3307  0.6693  0.0000
Cs  0.6693  0.3307  0.0000
Tm  0.5000  0.5000  0.5000
Th  0.1661  0.8339  0.5000
Th  0.8339  0.1661  0.5000
Te  0.1098  0.4352  0.3046
Te  0.2410  0.2410  0.6969
Te  0.4352  0.1098  0.3046
Te  0.5648  0.8902  0.6954
Te  0.7590  0.7590  0.3031
Te  0.8902  0.5648  0.6954

(5)
Calculated powder X-ray diffraction pattern of Cs2TmTh2Te6 for Cu Kα (λ = 1.5418 Å), from a structure optimized by DFT (GGA-PBE).
Peak positions follow from Bragg's law for the DFT cell and can differ from measured ones.

Principal peaks in the range 10° ≤ 2θ ≤ 90°, most intense first:
2θ/deg  I (rel.)
26.42  1000
40.41  532
34.71  532
26.29  499
48.90  277
32.37  201
65.31  194
42.70  135
32.20  106
54.40  100

Atomic structure:
Lattice parameters (Å, degrees): 7.7268 7.7268 9.6326 97.86 97.86 119.84
Atoms (fractional coordinates):
Cs  0.1689  0.8311  0.0000
Cs  0.8311  0.1689  0.0000
Tm  0.0000  0.0000  0.5000
Th  0.3329  0.6671  0.5000
Th  0.6671  0.3329  0.5000
Te  0.0684  0.3918  0.6937
Te  0.2612  0.2612  0.3070
Te  0.3918  0.0684  0.6937
Te  0.6082  0.9316  0.3063
Te  0.7388  0.7388  0.6930
Te  0.9316  0.6082  0.3063

(6)
Calculated powder X-ray diffraction pattern of Cs2Ti2Te5 for Cu Kα (λ = 1.5418 Å), from a structure optimized by DFT (GGA-PBE).
Peak positions follow from Bragg's law for the DFT cell and can differ from measured ones.

Principal peaks in the range 10° ≤ 2θ ≤ 90°, most intense first:
2θ/deg  I (rel.)
26.75  1000
25.19  666
24.06  438
33.23  426
29.26  352
32.20  252
28.39  206
20.21  192
41.44  190
50.88  185

Atomic structure:
Lattice parameters (Å, degrees): 8.1328 8.1328 9.5152 97.11 97.11 38.72
Atoms (fractional coordinates):
Cs  0.0927  0.0927  0.3067
Cs  0.9073  0.9073  0.6933
Ti  0.3515  0.3515  0.1118
Ti  0.6485  0.6485  0.8882
Te  0.1905  0.1905  0.9362
Te  0.3764  0.3764  0.3796
Te  0.5000  0.5000  0.0000
Te  0.6236  0.6236  0.6204
Te  0.8095  0.8095  0.0638

(7)
Calculated powder X-ray diffraction pattern of Cs3TiTe3 for Cu Kα (λ = 1.5418 Å), from a structure optimized by DFT (GGA-PBE).
Peak positions follow from Bragg's law for the DFT cell and can differ from measured ones.

Principal peaks in the range 10° ≤ 2θ ≤ 90°, most intense first:
2θ/deg  I (rel.)
26.03  1000
21.63  742
27.87  555
27.44  469
33.45  319
32.39  222
32.28  191
30.05  190
29.83  184
26.93  180

Atomic structure:
Lattice parameters (Å, degrees): 10.4099 9.1773 15.0129 90.00 100.17 90.00
Atoms (fractional coordinates):
Cs  0.0905  0.1521  0.1312
Cs  0.0905  0.3479  0.6312
Cs  0.3003  0.7256  0.7839
Cs  0.3003  0.7744  0.2839
Cs  0.3975  0.2336  0.9181
Cs  0.3975  0.2664  0.4181
Cs  0.6025  0.7336  0.5819
Cs  0.6025  0.7664  0.0819
Cs  0.6997  0.2256  0.7161
Cs  0.6997  0.2744  0.2161
Cs  0.9095  0.6521  0.3688
Cs  0.9095  0.8479  0.8688
Ti  0.1578  0.5717  0.0405
Ti  0.1578  0.9283  0.5405
Ti  0.8422  0.0717  0.4595
Ti  0.8422  0.4283  0.9595
Te  0.0603  0.0662  0.3818
Te  0.0603  0.4338  0.8818
Te  0.2414  0.6559  0.5170
Te  0.2414  0.8441  0.0170
Te  0.3590  0.0643  0.6436
Te  0.3590  0.4357  0.1436
Te  0.6410  0.5643  0.8564
Te  0.6410  0.9357  0.3564
Te  0.7586  0.1559  0.9830
Te  0.7586  0.3441  0.4830
Te  0.9397  0.5662  0.1182
Te  0.9397  0.9338  0.6182

(8)
Calculated powder X-ray diffraction pattern of Cs3Tl2Te4 for Cu Kα (λ = 1.5418 Å), from a structure optimized by DFT (GGA-PBE).
Peak positions follow from Bragg's law for the DFT cell and can differ from measured ones.

Principal peaks in the range 10° ≤ 2θ ≤ 90°, most intense first:
2θ/deg  I (rel.)
28.04  1000
29.41  515
11.31  425
19.76  405
28.75  404
12.65  382
21.09  345
23.71  319
19.39  288
29.95  276

Atomic structure:
Lattice parameters (Å, degrees): 10.1386 10.1386 9.2304 95.58 95.58 77.89
Atoms (fractional coordinates):
Cs  0.1124  0.8876  0.7500
Cs  0.2389  0.4893  0.3952
Cs  0.4893  0.2389  0.8952
Cs  0.5107  0.7611  0.1048
Cs  0.7611  0.5107  0.6048
Cs  0.8876  0.1124  0.2500
Tl  0.0813  0.3206  0.9268
Tl  0.3206  0.0813  0.4268
Tl  0.6794  0.9187  0.5732
Tl  0.9187  0.6794  0.0732
Te  0.1027  0.2345  0.6058
Te  0.2014  0.5703  0.9882
Te  0.2345  0.1027  0.1058
Te  0.4297  0.7986  0.5118
Te  0.5703  0.2014  0.4882
Te  0.7655  0.8973  0.8942
Te  0.7986  0.4297  0.0118
Te  0.8973  0.7655  0.3942